(1)
The following is a computed powder XRD pattern of La2ErTh. It was derived from DFT lattice parameters and positions (GGA-PBE), using CuKα.

Largest 6 diffraction maxima, in order of rising 2θ, 2θ from 15° to 90°:
hkl	d_spacing	intensity
1 0 4	2.968	1000
0 0 12	2.948	327
0 1 8	2.566	674
1 1 0	1.819	245
1 0 16	1.810	240
1 1 12	1.548	290

Cell and atoms:
```
data_La2ErTh
_chemical_formula_sum 'La6 Er3 Th3'
_cell_length_a 3.6376
_cell_length_b 3.6376
_cell_length_c 35.3773
_cell_angle_alpha 90.00
_cell_angle_beta 90.00
_cell_angle_gamma 120.00
_space_group_name_H-M_alt 'R -3 m'
_space_group_IT_number 166
_space_group_name_Hall '-R 3 2"'
loop_
_atom_site_label
_atom_site_fract_x
_atom_site_fract_y
_atom_site_fract_z
La1 0.0000 0.0000 0.2490
Er1 0.0000 0.0000 0.0000
Th1 0.0000 0.0000 0.5000
```



(2)
The following is a computed powder XRD pattern of LaEr2Th. It was derived from DFT lattice parameters and positions (GGA-PBE), using CuKα.

Largest 6 diffraction maxima, in order of rising 2θ, 2θ from 15° to 90°:
hkl	d_spacing	intensity
1 1 1	2.921	1000
2 0 0	2.560	350
0 0 2	2.473	159
2 0 2	1.779	239
3 1 1	1.539	299
1 1 3	1.500	137

Cell and atoms:
```
data_LaEr2Th
_chemical_formula_sum 'La1 Er2 Th1'
_cell_length_a 5.1205
_cell_length_b 5.1205
_cell_length_c 4.9451
_cell_angle_alpha 90.00
_cell_angle_beta 90.00
_cell_angle_gamma 90.00
_space_group_name_H-M_alt 'P 4/m m m'
_space_group_IT_number 123
_space_group_name_Hall '-P 4 2'
loop_
_atom_site_label
_atom_site_fract_x
_atom_site_fract_y
_atom_site_fract_z
La1 0.0000 0.0000 0.0000
Er1 0.0000 0.5000 0.5000
Th1 0.5000 0.5000 0.0000
```



(3)
The following is a computed powder XRD pattern of La9Er4Th. It was derived from DFT lattice parameters and positions (GGA-PBE), using CuKα.

Largest 6 diffraction maxima, in order of rising 2θ, 2θ from 15° to 90°:
hkl	d_spacing	intensity
2 0 3	2.876	231
0 0 4	2.864	1000
3 0 1	2.829	296
3 0 5	1.801	178
3 3 0	1.686	132
5 0 2	1.675	151

Cell and atoms:
```
data_La9Er4Th
_chemical_formula_sum 'La18 Er8 Th2'
_cell_length_a 10.1153
_cell_length_b 10.1153
_cell_length_c 11.4396
_cell_angle_alpha 90.00
_cell_angle_beta 90.00
_cell_angle_gamma 120.00
_space_group_name_H-M_alt 'P 63/m m c'
_space_group_IT_number 194
_space_group_name_Hall '-P 6c 2c'
loop_
_atom_site_label
_atom_site_fract_x
_atom_site_fract_y
_atom_site_fract_z
La1 0.0719 0.5359 0.2500
La2 0.2073 0.4146 0.5351
Er1 0.0000 0.0000 0.0000
Er2 0.1086 0.2172 0.2500
Th1 0.3333 0.6667 0.7500
```



(4)
The following is a computed powder XRD pattern of La2ErTh3. It was derived from DFT lattice parameters and positions (GGA-PBE), using CuKα.

Largest 6 diffraction maxima, in order of rising 2θ, 2θ from 15° to 90°:
hkl	d_spacing	intensity
3 1 0	3.305	429
0 2 2	2.921	1000
0 4 0	2.878	444
3 3 0	2.566	411
3 1 2	2.367	497
0 6 2	1.668	445

Cell and atoms:
```
data_La2ErTh3
_chemical_formula_sum 'La8 Er4 Th12'
_cell_length_a 10.3522
_cell_length_b 11.5128
_cell_length_c 6.7810
_cell_angle_alpha 90.00
_cell_angle_beta 90.00
_cell_angle_gamma 90.00
_space_group_name_H-M_alt 'C m c m'
_space_group_IT_number 63
_space_group_name_Hall '-C 2c 2'
loop_
_atom_site_label
_atom_site_fract_x
_atom_site_fract_y
_atom_site_fract_z
La1 0.1673 0.2303 0.2500
Er1 0.0000 0.2719 0.7500
Th1 0.0000 0.0000 0.0000
Th2 0.1658 0.5000 0.0000
```



(5)
The following is a computed powder XRD pattern of LaErTh. It was derived from DFT lattice parameters and positions (GGA-PBE), using CuKα.

Largest 6 diffraction maxima, in order of rising 2θ, 2θ from 15° to 90°:
hkl	d_spacing	intensity
1 0 3	2.949	1000
1 1 0	2.559	347
0 0 6	2.542	159
1 1 6	1.804	232
2 1 3	1.542	294
1 0 9	1.535	126

Cell and atoms:
```
data_LaErTh
_chemical_formula_sum 'La2 Er2 Th2'
_cell_length_a 3.6194
_cell_length_b 3.6194
_cell_length_c 15.2547
_cell_angle_alpha 90.00
_cell_angle_beta 90.00
_cell_angle_gamma 90.00
_space_group_name_H-M_alt 'I 4 m m'
_space_group_IT_number 107
_space_group_name_Hall 'I 4 -2'
loop_
_atom_site_label
_atom_site_fract_x
_atom_site_fract_y
_atom_site_fract_z
La1 0.0000 0.0000 0.0000
Er1 0.0000 0.0000 0.3162
Th1 0.0000 0.0000 0.6627
```



(6)
The following is a computed powder XRD pattern of La6Er5Th. It was derived from DFT lattice parameters and positions (GGA-PBE), using CuKα.

Largest 6 diffraction maxima, in order of rising 2θ, 2θ from 15° to 90°:
hkl	d_spacing	intensity
1 2 3	2.965	1000
2 0 0	2.594	174
0 0 6	2.582	170
0 4 0	2.528	162
3 2 3	1.560	148
1 2 9	1.555	144

Cell and atoms:
```
data_La6Er5Th
_chemical_formula_sum 'La12 Er10 Th2'
_cell_length_a 5.1876
_cell_length_b 10.1127
_cell_length_c 15.4909
_cell_angle_alpha 90.00
_cell_angle_beta 90.00
_cell_angle_gamma 90.00
_space_group_name_H-M_alt 'I m m m'
_space_group_IT_number 71
_space_group_name_Hall '-I 2 2'
loop_
_atom_site_label
_atom_site_fract_x
_atom_site_fract_y
_atom_site_fract_z
La1 0.0000 0.2487 0.1638
La2 0.0000 0.2500 0.5000
Er1 0.0000 0.0000 0.0000
Er2 0.0000 0.0000 0.3375
Er3 0.0000 0.5000 0.3312
Th1 0.0000 0.5000 0.0000
```



(7)
The following is a computed powder XRD pattern of La2Er12Th. It was derived from DFT lattice parameters and positions (GGA-PBE), using CuKα.

Largest 6 diffraction maxima, in order of rising 2θ, 2θ from 15° to 90°:
hkl	d_spacing	intensity
2 0 2	3.101	583
2 0 3	2.987	599
2 0 4	2.846	855
1 1 7	2.796	1000
2 1 3	2.707	827
2 2 0	2.264	588

Cell and atoms:
```
data_La2Er12Th
_chemical_formula_sum 'La4 Er24 Th2'
_cell_length_a 6.4038
_cell_length_b 6.4038
_cell_length_c 24.8762
_cell_angle_alpha 90.00
_cell_angle_beta 90.00
_cell_angle_gamma 90.00
_space_group_name_H-M_alt 'P 4/n b m'
_space_group_IT_number 125
loop_
_space_group_symop_operation_xyz
'x,y,z'
'-x,-y,-z'
'-y+1/2,x,z'
'y+1/2,-x,-z'
'-x+1/2,-y+1/2,z'
'x+1/2,y+1/2,-z'
'y,-x+1/2,z'
'-y,x+1/2,-z'
'x,-y+1/2,-z'
'-x,y+1/2,z'
'-y+1/2,-x+1/2,-z'
'y+1/2,x+1/2,z'
'-x+1/2,y,-z'
'x+1/2,-y,z'
'y,x,-z'
'-y,-x,z'
loop_
_atom_site_label
_atom_site_fract_x
_atom_site_fract_y
_atom_site_fract_z
La1 0.2500 0.7500 0.2276
Er1 0.0617 0.5617 0.3867
Er2 0.0808 0.5808 0.0600
Er3 0.2500 0.2500 0.1590
Er4 0.2500 0.2500 0.2869
Th1 0.2500 0.7500 0.5000
```



(8)
The following is a computed powder XRD pattern of LaEr6Th3. It was derived from DFT lattice parameters and positions (GGA-PBE), using CuKα.

Largest 6 diffraction maxima, in order of rising 2θ, 2θ from 15° to 90°:
hkl	d_spacing	intensity
1 1 3	2.940	535
3 1 0	2.909	394
0 2 0	2.813	825
2 1 -3	2.796	1000
3 1 1	2.759	490
0 1 4	2.548	256

Cell and atoms:
```
data_LaEr6Th3
_chemical_formula_sum 'La2 Er12 Th6'
_cell_length_a 10.2565
_cell_length_b 5.6268
_cell_length_c 11.4961
_cell_angle_alpha 90.00
_cell_angle_beta 96.21
_cell_angle_gamma 90.00
_space_group_name_H-M_alt 'P 1 21/m 1'
_space_group_IT_number 11
_space_group_name_Hall '-P 2yb'
loop_
_atom_site_label
_atom_site_fract_x
_atom_site_fract_y
_atom_site_fract_z
La1 0.0556 0.2500 0.3325
Er1 0.1538 0.2500 0.6989
Er2 0.1690 0.7500 0.1878
Er3 0.1859 0.7500 0.4678
Er4 0.2198 0.7500 0.9202
Er5 0.3543 0.2500 0.2255
Er6 0.4498 0.2500 0.9005
Th1 0.1017 0.2500 0.0183
Th2 0.3587 0.7500 0.7006
Th3 0.4563 0.2500 0.5665
```



(9)
The following is a computed powder XRD pattern of La2Er4Th. It was derived from DFT lattice parameters and positions (GGA-PBE), using CuKα.

Largest 6 diffraction maxima, in order of rising 2θ, 2θ from 15° to 90°:
hkl	d_spacing	intensity
1 1 0	3.117	358
0 0 7	2.903	551
2 0 -4	2.778	994
2 0 3	2.719	1000
3 1 -1	1.803	283
3 1 6	1.532	330

Cell and atoms:
```
data_La2Er4Th
_chemical_formula_sum 'La4 Er8 Th2'
_cell_length_a 6.2503
_cell_length_b 3.5986
_cell_length_c 20.4275
_cell_angle_alpha 90.00
_cell_angle_beta 95.86
_cell_angle_gamma 90.00
_space_group_name_H-M_alt 'C 1 m 1'
_space_group_IT_number 8
_space_group_name_Hall 'C -2y'
loop_
_atom_site_label
_atom_site_fract_x
_atom_site_fract_y
_atom_site_fract_z
La1 0.0000 0.0000 0.0000
La2 0.0920 0.0000 0.2890
Er1 0.1925 0.0000 0.5730
Er2 0.2157 0.5000 0.1426
Er3 0.2835 0.0000 0.8550
Er4 0.3147 0.5000 0.4370
Th1 0.4100 0.5000 0.7142
```



(10)
The following is a computed powder XRD pattern of LaEr2Th3. It was derived from DFT lattice parameters and positions (GGA-PBE), using CuKα.

Largest 6 diffraction maxima, in order of rising 2θ, 2θ from 15° to 90°:
hkl	d_spacing	intensity
2 0 2	2.921	1000
4 0 -2	2.545	173
4 2 1	2.522	336
0 2 3	1.791	246
2 0 -4	1.532	148
6 2 3	1.523	144

Cell and atoms:
```
data_LaEr2Th3
_chemical_formula_sum 'La4 Er8 Th12'
_cell_length_a 17.5504
_cell_length_b 7.1237
_cell_length_c 6.2164
_cell_angle_alpha 90.00
_cell_angle_beta 90.41
_cell_angle_gamma 90.00
_space_group_name_H-M_alt 'C 1 2/c 1'
_space_group_IT_number 15
_space_group_name_Hall '-C 2yc'
loop_
_atom_site_label
_atom_site_fract_x
_atom_site_fract_y
_atom_site_fract_z
La1 0.0000 0.1327 0.2500
Er1 0.1704 0.1271 0.5849
Th1 0.0000 0.3771 0.7500
Th2 0.1662 0.3802 0.0803
```



(11)
The following is a computed powder XRD pattern of La3Er6Th2. It was derived from DFT lattice parameters and positions (GGA-PBE), using CuKα.

Largest 6 diffraction maxima, in order of rising 2θ, 2θ from 15° to 90°:
hkl	d_spacing	intensity
1 3 1	2.902	1000
0 0 4	2.841	308
2 0 2	2.500	660
3 3 -1	1.782	165
1 3 5	1.754	222
0 6 4	1.511	187

Cell and atoms:
```
data_La3Er6Th2
_chemical_formula_sum 'La6 Er12 Th4'
_cell_length_a 6.1714
_cell_length_b 10.6980
_cell_length_c 11.5541
_cell_angle_alpha 90.00
_cell_angle_beta 100.38
_cell_angle_gamma 90.00
_space_group_name_H-M_alt 'C 1 2/m 1'
_space_group_IT_number 12
_space_group_name_Hall '-C 2y'
loop_
_atom_site_label
_atom_site_fract_x
_atom_site_fract_y
_atom_site_fract_z
La1 0.0000 0.0000 0.0000
La2 0.0000 0.3356 0.0000
Er1 0.2474 0.0000 0.7417
Er2 0.2467 0.3338 0.7412
Th1 0.0000 0.1658 0.5000
```



(12)
The following is a computed powder XRD pattern of La4ErTh. It was derived from DFT lattice parameters and positions (GGA-PBE), using CuKα.

Largest 6 diffraction maxima, in order of rising 2θ, 2θ from 15° to 90°:
hkl	d_spacing	intensity
1 1 -1	3.313	632
2 0 2	2.997	561
2 0 -4	2.930	1000
3 1 -1	2.595	970
1 1 3	2.223	424
2 2 -4	1.505	279

Cell and atoms:
```
data_La4ErTh
_chemical_formula_sum 'La8 Er2 Th2'
_cell_length_a 11.7348
_cell_length_b 3.5081
_cell_length_c 11.7132
_cell_angle_alpha 90.00
_cell_angle_beta 118.50
_cell_angle_gamma 90.00
_space_group_name_H-M_alt 'C 1 2/m 1'
_space_group_IT_number 12
_space_group_name_Hall '-C 2y'
loop_
_atom_site_label
_atom_site_fract_x
_atom_site_fract_y
_atom_site_fract_z
La1 0.1532 0.0000 0.3413
La2 0.1645 0.5000 0.8405
Er1 0.0000 0.0000 0.0000
Th1 0.0000 0.5000 0.5000
```



(13)
The following is a computed powder XRD pattern of LaYEr2Th. It was derived from DFT lattice parameters and positions (GGA-PBE), using CuKα.

Largest 6 diffraction maxima, in order of rising 2θ, 2θ from 15° to 90°:
hkl	d_spacing	intensity
0 1 0	5.663	273
0 0 3	2.897	183
0 2 0	2.831	1000
0 1 3	2.579	191
1 1 -2	2.466	305
1 3 1	1.635	149

Cell and atoms:
```
data_LaYEr2Th
_chemical_formula_sum 'La1 Y1 Er2 Th1'
_cell_length_a 3.5279
_cell_length_b 5.6627
_cell_length_c 8.6909
_cell_angle_alpha 90.00
_cell_angle_beta 90.05
_cell_angle_gamma 90.00
_space_group_name_H-M_alt 'P 1 2/m 1'
_space_group_IT_number 10
_space_group_name_Hall '-P 2y'
loop_
_atom_site_label
_atom_site_fract_x
_atom_site_fract_y
_atom_site_fract_z
La1 0.0000 0.0000 0.0000
Y1 0.5000 0.0000 0.5000
Er1 0.0016 0.5000 0.3216
Th1 0.5000 0.5000 0.0000
```